The following is a calculated XRD peak list of SbPbSeO6. It was derived from a cell relaxed with GGA-PBE, using Cu Kα.

Largest 8 diffraction maxima, sorted by position, 15° ≤ 2θ ≤ 90°:
index, 2θ (°), I (rel.)
1 0 1, 25.32, 100
1 1 0, 33.87, 32
2 0 1, 42.75, 23
2 -1 2, 47.75, 37
1 0 3, 53.97, 12
3 -1 1, 55.63, 23
3 0 0, 60.60, 10
3 1 1, 76.98, 9

Structure:
Cell lengths 5.2933, 5.2933, 5.4877 Å; angles 90.00, 90.00, 120.00 degrees
Sites, in units of the cell vectors:
Sb1 0.0000 0.0000 0.0000
Pb1 0.3333 0.6667 0.5000
Se1 0.6667 0.3333 0.0000
O1 0.3405 0.0498 0.2037
O2 0.3405 0.2906 0.7963
O3 0.7094 0.0498 0.7963
O4 0.7094 0.6595 0.2037
O5 0.9502 0.2906 0.2037
O6 0.9502 0.6595 0.7963